# 1
# MgRe2W
Computed X-ray powder pattern, λ = 1.5418 Å (Cu Kα). Input: a crystal structure in Alexandria, relaxed with PBE.
Peak positions follow from Bragg's law for the DFT cell and can differ from measured ones.

Peak list (8 most intense, 10° ≤ 2θ ≤ 80°, sorted by position)
d/Å, two_theta, I (rel.)
4.507, 19.70, 11
3.998, 22.23, 25
2.254, 40.01, 25
2.231, 40.44, 26
2.220, 40.63, 100
1.585, 58.19, 17
1.295, 73.09, 16
1.286, 73.67, 18

Structure:
Cell lengths 5.264, 5.264, 5.264 Å; angles 145.63, 129.86, 62.20 degrees
Atoms (fractional coordinates):
Mg (0.000, 0.000, 0.000)
Re (0.259, 0.759, 0.500)
Re (0.496, 0.496, 0.000)
W (0.735, 0.235, 0.500)

---

# 2
# La2Tl3Cd3
Computed X-ray powder pattern, λ = 1.5418 Å (Cu Kα). Input: a crystal structure in Alexandria, relaxed with PBE.
Peak positions follow from Bragg's law for the DFT cell and can differ from measured ones.

Peak list (8 most intense, 10° ≤ 2θ ≤ 80°, sorted by position)
d/Å, two_theta, I (rel.)
2.700, 33.18, 100
2.678, 33.46, 97
1.901, 47.84, 36
1.559, 59.27, 19
1.555, 59.45, 37
1.542, 59.99, 18
1.206, 79.50, 16
1.200, 79.97, 16

Structure:
Cell lengths 9.253, 9.253, 9.253 Å; angles 33.93, 33.93, 33.93 degrees
Atoms (fractional coordinates):
La (0.000, 0.000, 0.000)
La (0.499, 0.499, 0.499)
Tl (0.125, 0.125, 0.125)
Tl (0.625, 0.625, 0.625)
Tl (0.873, 0.873, 0.873)
Cd (0.252, 0.252, 0.252)
Cd (0.374, 0.374, 0.374)
Cd (0.747, 0.747, 0.747)

---

# 3
# Pa2Sn2BRu4
Computed X-ray powder pattern, λ = 1.5418 Å (Cu Kα). Input: a crystal structure in Alexandria, relaxed with PBE.
Peak positions follow from Bragg's law for the DFT cell and can differ from measured ones.

Peak list (8 most intense, 10° ≤ 2θ ≤ 80°, sorted by position)
d/Å, two_theta, I (rel.)
2.548, 35.22, 12
2.492, 36.04, 100
2.191, 41.20, 40
2.097, 43.14, 11
1.968, 46.12, 11
1.549, 59.68, 14
1.515, 61.18, 15
1.316, 71.73, 27

Structure:
Cell lengths 6.065, 6.065, 6.065 Å; angles 118.56, 118.56, 92.52 degrees
Atoms (fractional coordinates):
Pa (0.206, 0.206, 0.000)
Pa (0.794, 0.794, 0.000)
Sn (0.250, 0.750, 0.500)
Sn (0.750, 0.250, 0.500)
B (0.500, 0.500, 0.000)
Ru (0.253, 0.253, 0.506)
Ru (0.253, 0.747, 0.000)
Ru (0.747, 0.253, 0.000)
Ru (0.747, 0.747, 0.494)

---

# 4
# LaNd3Pu2Se6
Computed X-ray powder pattern, λ = 1.5418 Å (Cu Kα). Input: a crystal structure in Alexandria, relaxed with PBE.
Peak positions follow from Bragg's law for the DFT cell and can differ from measured ones.

Peak list (8 most intense, 10° ≤ 2θ ≤ 80°, sorted by position)
d/Å, two_theta, I (rel.)
3.441, 25.89, 19
2.983, 29.96, 100
2.112, 42.81, 38
2.106, 42.95, 37
1.720, 53.24, 20
1.336, 70.51, 17
1.332, 70.71, 17
1.217, 78.62, 17

Structure:
Cell lengths 7.296, 7.296, 7.326 Å; angles 99.56, 99.56, 120.01 degrees
Atoms (fractional coordinates):
La (0.000, 0.000, 0.000)
Nd (0.164, 0.836, 0.500)
Nd (0.500, 0.500, 0.500)
Nd (0.836, 0.164, 0.500)
Pu (0.333, 0.667, 0.000)
Pu (0.667, 0.333, 0.000)
Se (0.083, 0.423, 0.247)
Se (0.259, 0.259, 0.755)
Se (0.423, 0.083, 0.247)
Se (0.577, 0.917, 0.753)
Se (0.741, 0.741, 0.245)
Se (0.917, 0.577, 0.753)

---

# 5
# Rb2DyPbO4
Computed X-ray powder pattern, λ = 1.5418 Å (Cu Kα). Input: a crystal structure in Alexandria, relaxed with PBE.
Peak positions follow from Bragg's law for the DFT cell and can differ from measured ones.

Peak list (8 most intense, 10° ≤ 2θ ≤ 80°, sorted by position)
d/Å, two_theta, I (rel.)
5.226, 16.97, 26
3.225, 27.66, 100
3.153, 28.31, 38
2.229, 40.46, 20
1.876, 48.52, 25
1.834, 49.72, 40
1.612, 57.13, 12
1.227, 77.85, 11

Structure:
Cell lengths 6.453, 6.453, 6.305 Å; angles 119.18, 119.18, 92.70 degrees
Atoms (fractional coordinates):
Rb (0.000, 0.000, 0.000)
Rb (0.750, 0.250, 0.500)
Dy (0.501, 0.499, 0.000)
Pb (0.250, 0.750, 0.500)
O (0.220, 0.464, 0.600)
O (0.382, 0.134, 0.916)
O (0.536, 0.780, 0.400)
O (0.866, 0.618, 0.084)

---

# 6
# SmEr2Mg2
Computed X-ray powder pattern, λ = 1.5418 Å (Cu Kα). Input: a crystal structure in Alexandria, relaxed with PBE.
Peak positions follow from Bragg's law for the DFT cell and can differ from measured ones.

Peak list (8 most intense, 10° ≤ 2θ ≤ 80°, sorted by position)
d/Å, two_theta, I (rel.)
4.291, 20.70, 15
3.690, 24.12, 20
3.533, 25.21, 29
2.783, 32.16, 23
2.726, 32.86, 28
2.691, 33.29, 100
1.947, 46.64, 16
1.567, 58.94, 19

Structure:
Cell lengths 14.039, 14.039, 5.452 Å; angles 90.00, 90.00, 164.76 degrees
Atoms (fractional coordinates):
Sm (0.151, 0.849, 0.750)
Sm (0.849, 0.151, 0.250)
Er (0.044, 0.956, 0.250)
Er (0.238, 0.762, 0.250)
Er (0.762, 0.238, 0.750)
Er (0.956, 0.044, 0.750)
Mg (0.360, 0.640, 0.750)
Mg (0.448, 0.552, 0.250)
Mg (0.552, 0.448, 0.750)
Mg (0.640, 0.360, 0.250)